# 1
Computed powder XRD pattern of PrEu2SbO6 for a wavelength of 1.5418 Å, from a PBE-relaxed structure.
Peak positions follow from Bragg's law for the DFT cell and can differ from measured ones.

Structural model:
Cell: 8.5979 8.5979 8.5979 Å, 90.00 90.00 90.00°
Space group Fm-3m (No. 225)
One atom of each set of equivalent atoms:
Pr (0.0000, 0.0000, 0.0000)
Eu (0.2500, 0.2500, 0.2500)
Sb (0.0000, 0.0000, 0.5000)
O (0.0000, 0.0000, 0.2681)

Top 8 peaks for 2θ = 10–80°, by intensity:
two_theta, I/Imax
29.4, 100
52.1, 41
42.0, 29
69.1, 18
61.0, 18
76.8, 6
36.2, 3
73.0, 1

=====

# 2
Computed powder XRD pattern of PtRhBr4N5Cl for a wavelength of 1.5418 Å, from a PBE-relaxed structure.
Peak positions follow from Bragg's law for the DFT cell and can differ from measured ones.

Structural model:
Cell: 16.5589 9.6719 7.7026 Å, 90.00 90.00 90.00°
Space group Pnma (No. 62)
One atom of each set of equivalent atoms:
Pt (0.2477, 0.2500, 0.0885)
Rh (0.1440, 0.7500, 0.1820)
Br (0.0148, 0.7500, 0.4275)
Br (0.1523, 0.2500, 0.3288)
Br (0.2233, 0.0012, 0.6528)
N (0.0626, 0.6083, 0.3343)
N (0.1818, 0.5869, 0.0696)
N (0.2171, 0.7500, 0.3653)
Cl (0.0429, 0.7500, 0.9613)

Top 12 peaks for 2θ = 10–80°, by intensity:
two_theta, I/Imax
10.7, 100
15.7, 41
18.3, 38
23.7, 37
21.8, 33
24.2, 31
28.3, 28
30.8, 27
37.2, 25
18.2, 22
36.9, 21
29.8, 20

=====

# 3
Computed powder XRD pattern of Mg3ZnH24C8O24 for a wavelength of 1.5418 Å, from a PBE-relaxed structure.
Peak positions follow from Bragg's law for the DFT cell and can differ from measured ones.

Structural model:
Cell: 7.3032 8.8419 9.4929 Å, 97.47 90.09 90.07°
Space group P-1 (No. 2)
One atom of each set of equivalent atoms:
Mg (0.0000, 0.0000, 0.0000)
Mg (0.0000, 0.5000, 0.5000)
Mg (0.5000, 0.0000, 0.5000)
Zn (0.5000, 0.5000, 0.0000)
H (0.0179, 0.3272, 0.8980)
H (0.0971, 0.7618, 0.4496)
H (0.1011, 0.3072, 0.2685)
H (0.1152, 0.2154, 0.5122)
H (0.1472, 0.4717, 0.2267)
H (0.2030, 0.9326, 0.7233)
H (0.2970, 0.9326, 0.2232)
H (0.3529, 0.4722, 0.7258)
H (0.3850, 0.2169, 0.0108)
H (0.3994, 0.3060, 0.7672)
H (0.4024, 0.7609, 0.9504)
H (0.4834, 0.3286, 0.3976)
C (0.1223, 0.6779, 0.0595)
C (0.2295, 0.0377, 0.2727)
C (0.2706, 0.0379, 0.7728)
C (0.3770, 0.6778, 0.5592)
O (0.0266, 0.2842, 0.5673)
O (0.1032, 0.4168, 0.3045)
O (0.1100, 0.0985, 0.2002)
O (0.1642, 0.7950, 0.0001)
O (0.2225, 0.0903, 0.8986)
O (0.2270, 0.5673, 0.0757)
O (0.2692, 0.5685, 0.5732)
O (0.2776, 0.0899, 0.3986)
O (0.3376, 0.7959, 0.5002)
O (0.3899, 0.0989, 0.7006)
O (0.3939, 0.4156, 0.8034)
O (0.4731, 0.2822, 0.0707)

Top 12 peaks for 2θ = 10–80°, by intensity:
two_theta, I/Imax
17.7, 100
19.1, 62
25.7, 50
20.2, 47
18.9, 44
33.9, 40
33.2, 29
38.2, 28
23.7, 27
26.2, 25
26.4, 16
42.9, 15

=====

Repeat the third record exactly.
Computed powder XRD pattern of Mg3ZnH24C8O24 for a wavelength of 1.5418 Å, from a PBE-relaxed structure.
Peak positions follow from Bragg's law for the DFT cell and can differ from measured ones.

Structural model:
Cell: 7.3032 8.8419 9.4929 Å, 97.47 90.09 90.07°
Space group P-1 (No. 2)
One atom of each set of equivalent atoms:
Mg (0.0000, 0.0000, 0.0000)
Mg (0.0000, 0.5000, 0.5000)
Mg (0.5000, 0.0000, 0.5000)
Zn (0.5000, 0.5000, 0.0000)
H (0.0179, 0.3272, 0.8980)
H (0.0971, 0.7618, 0.4496)
H (0.1011, 0.3072, 0.2685)
H (0.1152, 0.2154, 0.5122)
H (0.1472, 0.4717, 0.2267)
H (0.2030, 0.9326, 0.7233)
H (0.2970, 0.9326, 0.2232)
H (0.3529, 0.4722, 0.7258)
H (0.3850, 0.2169, 0.0108)
H (0.3994, 0.3060, 0.7672)
H (0.4024, 0.7609, 0.9504)
H (0.4834, 0.3286, 0.3976)
C (0.1223, 0.6779, 0.0595)
C (0.2295, 0.0377, 0.2727)
C (0.2706, 0.0379, 0.7728)
C (0.3770, 0.6778, 0.5592)
O (0.0266, 0.2842, 0.5673)
O (0.1032, 0.4168, 0.3045)
O (0.1100, 0.0985, 0.2002)
O (0.1642, 0.7950, 0.0001)
O (0.2225, 0.0903, 0.8986)
O (0.2270, 0.5673, 0.0757)
O (0.2692, 0.5685, 0.5732)
O (0.2776, 0.0899, 0.3986)
O (0.3376, 0.7959, 0.5002)
O (0.3899, 0.0989, 0.7006)
O (0.3939, 0.4156, 0.8034)
O (0.4731, 0.2822, 0.0707)

Top 12 peaks for 2θ = 10–80°, by intensity:
two_theta, I/Imax
17.7, 100
19.1, 62
25.7, 50
20.2, 47
18.9, 44
33.9, 40
33.2, 29
38.2, 28
23.7, 27
26.2, 25
26.4, 16
42.9, 15